Structure and calculated XRD peak list of Pr2Nd3Ag3 (a cell relaxed with PBE; Cu Kα (λ = 1.5418 Å)).
Neutral-atom scattering factors, no anomalous dispersion.

Atomic structure:
a b c (Å): 3.806 5.455 22.344
angles (deg): 90.00 90.00 90.00
Space group Immm (No. 71)
Unique sites:
Pr: 0.000 0.000 0.230 x4
Nd: 0.000 0.000 0.000 x2
Nd: 0.000 0.500 0.119 x4
Ag: 0.000 0.000 0.500 x2
Ag: 0.000 0.500 0.385 x4

The 12 most intense peaks (10 to 90 degrees two-theta), in order of rising 2θ:
- 25.77 deg, I 39
- 32.05 deg, I 162
- 32.86 deg, I 1000
- 46.54 deg, I 113
- 47.79 deg, I 77
- 57.64 deg, I 75
- 58.66 deg, I 202
- 59.20 deg, I 77
- 65.71 deg, I 37
- 68.90 deg, I 93
- 77.55 deg, I 31
- 79.42 deg, I 60



Structure and calculated XRD peak list of PrNd2Ag2 (a cell relaxed with PBE; Cu Kα (λ = 1.5418 Å)).
Neutral-atom scattering factors, no anomalous dispersion.

Atomic structure:
a b c (Å): 3.764 5.454 14.018
angles (deg): 90.00 97.66 90.00
Space group P2_1/m (No. 11)
Unique sites:
Pr: 0.145 0.250 0.290 x2
Nd: 0.048 0.750 0.095 x2
Nd: 0.235 0.750 0.468 x2
Ag: 0.358 0.250 0.717 x2
Ag: 0.454 0.750 0.906 x2

The 12 most intense peaks (10 to 90 degrees two-theta), in order of rising 2θ:
- 32.22 deg, I 215
- 32.84 deg, I 284
- 33.11 deg, I 1000
- 46.67 deg, I 151
- 48.36 deg, I 92
- 58.01 deg, I 106
- 58.80 deg, I 187
- 59.31 deg, I 73
- 59.70 deg, I 96
- 69.47 deg, I 90
- 77.87 deg, I 44
- 80.42 deg, I 75



Structure and calculated XRD peak list of Pr5NdAg6 (a cell relaxed with PBE; Cu Kα (λ = 1.5418 Å)).
Neutral-atom scattering factors, no anomalous dispersion.

Atomic structure:
a b c (Å): 5.382 7.469 8.473
angles (deg): 90.00 107.78 90.00
Space group P2/m (No. 10)
Unique sites:
Pr: 0.000 0.000 0.000 x1
Pr: 0.333 0.000 0.666 x2
Pr: 0.333 0.500 0.667 x2
Nd: 0.000 0.500 0.000 x1
Ag: 0.166 0.251 0.332 x4
Ag: 0.500 0.253 0.000 x2

The 12 most intense peaks (10 to 90 degrees two-theta), in order of rising 2θ:
- 33.31 deg, I 1000
- 33.52 deg, I 983
- 33.74 deg, I 966
- 47.49 deg, I 182
- 48.15 deg, I 175
- 48.77 deg, I 168
- 59.52 deg, I 364
- 59.94 deg, I 356
- 60.34 deg, I 348
- 69.94 deg, I 111
- 70.44 deg, I 109
- 89.89 deg, I 119



Structure and calculated XRD peak list of Pr5Nd2Ag4 (a cell relaxed with PBE; Cu Kα (λ = 1.5418 Å)).
Neutral-atom scattering factors, no anomalous dispersion.

Atomic structure:
a b c (Å): 24.886 4.006 7.335
angles (deg): 90.00 102.66 90.00
Space group C2/m (No. 12)
Unique sites:
Pr: 0.000 0.000 0.000 x2
Pr: 0.186 0.500 0.074 x4
Pr: 0.208 0.500 0.602 x4
Nd: 0.070 0.500 0.392 x4
Ag: 0.059 0.500 0.801 x4
Ag: 0.131 0.000 0.734 x4

The 12 most intense peaks (10 to 90 degrees two-theta), in order of rising 2θ:
- 15.69 deg, I 169
- 22.49 deg, I 218
- 22.75 deg, I 223
- 25.99 deg, I 156
- 28.89 deg, I 263
- 31.69 deg, I 549
- 33.60 deg, I 1000
- 34.19 deg, I 799
- 40.04 deg, I 154
- 45.27 deg, I 272
- 56.30 deg, I 272
- 57.30 deg, I 217



Structure and calculated XRD peak list of PrNd4Ag (a cell relaxed with PBE; Cu Kα (λ = 1.5418 Å)).
Neutral-atom scattering factors, no anomalous dispersion.

Atomic structure:
a b c (Å): 3.711 3.711 14.263
angles (deg): 90.00 90.00 90.00
Space group P4/mmm (No. 123)
Unique sites:
Pr: 0.000 0.000 0.000 x1
Nd: 0.000 0.000 0.365 x2
Nd: 0.500 0.500 0.182 x2
Ag: 0.500 0.500 0.500 x1

The 12 most intense peaks (10 to 90 degrees two-theta), in order of rising 2θ:
- 27.09 deg, I 77
- 30.56 deg, I 1000
- 34.17 deg, I 434
- 37.85 deg, I 85
- 47.06 deg, I 85
- 49.10 deg, I 155
- 51.90 deg, I 137
- 57.32 deg, I 114
- 58.95 deg, I 306
- 63.62 deg, I 73
- 78.79 deg, I 72
- 82.14 deg, I 69



Structure and calculated XRD peak list of Pr3NdAg3 (a cell relaxed with PBE; Cu Kα (λ = 1.5418 Å)).
Neutral-atom scattering factors, no anomalous dispersion.

Atomic structure:
a b c (Å): 10.306 10.788 7.380
angles (deg): 90.00 90.00 90.00
Space group Cmmm (No. 65)
Unique sites:
Pr: 0.000 0.230 0.000 x4
Pr: 0.184 0.000 0.500 x4
Pr: 0.239 0.000 0.000 x4
Nd: 0.000 0.306 0.500 x4
Ag: 0.000 0.500 0.202 x4
Ag: 0.250 0.250 0.259 x8

The 12 most intense peaks (10 to 90 degrees two-theta), in order of rising 2θ:
- 27.24 deg, I 133
- 28.95 deg, I 160
- 29.82 deg, I 80
- 33.22 deg, I 250
- 34.20 deg, I 1000
- 34.82 deg, I 208
- 35.94 deg, I 74
- 48.89 deg, I 104
- 49.40 deg, I 93
- 59.98 deg, I 101
- 60.83 deg, I 69
- 62.03 deg, I 91



Structure and calculated XRD peak list of Pr3Nd3Ag4 (a cell relaxed with PBE; Cu Kα (λ = 1.5418 Å)).
Neutral-atom scattering factors, no anomalous dispersion.

Atomic structure:
a b c (Å): 3.902 12.228 12.169
angles (deg): 90.00 90.00 90.00
Space group Amm2 (No. 38)
Unique sites:
Pr: 0.000 0.000 0.000 x2
Pr: 0.000 0.170 0.668 x4
Nd: 0.000 0.000 0.339 x2
Nd: 0.500 0.250 0.419 x4
Ag: 0.500 0.000 0.544 x2
Ag: 0.500 0.000 0.792 x2
Ag: 0.500 0.123 0.170 x4

The 12 most intense peaks (10 to 90 degrees two-theta), in order of rising 2θ:
- 29.21 deg, I 63
- 30.91 deg, I 381
- 32.64 deg, I 1000
- 32.83 deg, I 557
- 46.55 deg, I 144
- 49.43 deg, I 108
- 58.14 deg, I 212
- 59.51 deg, I 75
- 59.62 deg, I 75
- 62.61 deg, I 76
- 62.80 deg, I 66
- 77.45 deg, I 79



Structure and calculated XRD peak list of PrNdTmAg (a cell relaxed with PBE; Cu Kα (λ = 1.5418 Å)).
Neutral-atom scattering factors, no anomalous dispersion.

Atomic structure:
a b c (Å): 3.658 3.658 8.888
angles (deg): 90.00 90.00 90.00
Space group P4mm (No. 99)
Unique sites:
Pr: 0.000 0.000 0.000 x1
Nd: 0.500 0.500 0.701 x1
Tm: 0.500 0.500 0.286 x1
Ag: 0.000 0.000 0.470 x1

The 12 most intense peaks (10 to 90 degrees two-theta), in order of rising 2θ:
- 26.34 deg, I 75
- 30.16 deg, I 76
- 31.68 deg, I 1000
- 34.68 deg, I 470
- 39.12 deg, I 86
- 46.61 deg, I 93
- 49.85 deg, I 167
- 54.43 deg, I 118
- 57.65 deg, I 96
- 60.28 deg, I 313
- 79.64 deg, I 75
- 83.57 deg, I 75